(1)
The following is a calculated powder XRD pattern of BaMnCdAu2. It was derived from a structure optimized by DFT (PBE), using CuKα.
Intensities are scaled so that the largest is 100.

Principal peaks in the range 10 to 90 degrees two-theta, low angle first:
2θ (°)	Rel. int.
14.6	52
16.8	28
28.0	100
29.4	49
33.9	68
45.4	60
48.7	32
57.9	29

Structure:
abc: 5.292 5.292 6.083
angles: 90.00 90.00 90.00
Atoms (fractional coordinates):
Ba 0.000 0.000 0.000
Mn 0.500 0.500 0.000
Cd 0.000 0.000 0.500
Au 0.000 0.500 0.500
Au 0.500 0.000 0.500

(2)
The following is a calculated powder XRD pattern of CaCe4Bi6. It was derived from a structure optimized by DFT (PBE), using CuKα.
Intensities are scaled so that the largest is 100.

Principal peaks in the range 10 to 90 degrees two-theta, low angle first:
2θ (°)	Rel. int.
23.6	38
24.5	43
30.3	100
31.2	79
33.2	98
35.6	32
38.2	32
61.1	39

Structure:
abc: 8.975 8.975 8.975
angles: 88.08 88.08 88.08
Atoms (fractional coordinates):
Ca 0.000 0.000 0.000
Ca 0.500 0.500 0.500
Ce 0.140 0.750 0.360
Ce 0.250 0.250 0.250
Ce 0.250 0.640 0.860
Ce 0.360 0.140 0.750
Ce 0.640 0.860 0.250
Ce 0.750 0.360 0.140
Ce 0.750 0.750 0.750
Ce 0.860 0.250 0.640
Bi 0.066 0.922 0.671
Bi 0.078 0.329 0.934
Bi 0.171 0.422 0.566
Bi 0.329 0.934 0.078
Bi 0.422 0.566 0.171
Bi 0.434 0.829 0.578
Bi 0.566 0.171 0.422
Bi 0.578 0.434 0.829
Bi 0.671 0.066 0.922
Bi 0.829 0.578 0.434
Bi 0.922 0.671 0.066
Bi 0.934 0.078 0.329

(3)
The following is a calculated powder XRD pattern of Ba2MnH6Pd. It was derived from a structure optimized by DFT (PBE), using CuKα.
Intensities are scaled so that the largest is 100.

Principal peaks in the range 10 to 90 degrees two-theta, low angle first:
2θ (°)	Rel. int.
30.9	100
32.8	42
41.3	12
47.1	16
53.7	20
57.4	33
64.4	12
68.8	15

Structure:
abc: 5.833 5.833 5.833
angles: 124.24 124.24 82.80
Atoms (fractional coordinates):
Ba 0.250 0.750 0.500
Ba 0.750 0.250 0.500
Mn 0.000 0.000 0.000
H 0.201 0.201 0.000
H 0.253 0.253 0.505
H 0.253 0.747 0.000
H 0.747 0.253 0.000
H 0.747 0.747 0.495
H 0.799 0.799 0.000
Pd 0.500 0.500 0.000

(4)
The following is a calculated powder XRD pattern of Y6Ga3Pt. It was derived from a structure optimized by DFT (PBE), using CuKα.
Intensities are scaled so that the largest is 100.

Principal peaks in the range 10 to 90 degrees two-theta, low angle first:
2θ (°)	Rel. int.
20.4	16
30.9	50
30.9	20
35.7	100
37.2	45
47.9	25
52.5	16
64.1	13

Structure:
abc: 8.698 11.609 5.034
angles: 90.00 90.00 90.00
Atoms (fractional coordinates):
Y 0.005 0.247 0.000
Y 0.163 0.087 0.500
Y 0.174 0.414 0.500
Y 0.326 0.914 0.000
Y 0.337 0.587 0.000
Y 0.495 0.747 0.500
Y 0.505 0.253 0.500
Y 0.663 0.413 0.000
Y 0.674 0.086 0.000
Y 0.826 0.586 0.500
Y 0.837 0.913 0.500
Y 0.995 0.753 0.000
Ga 0.000 0.500 0.000
Ga 0.161 0.737 0.500
Ga 0.339 0.237 0.000
Ga 0.500 0.000 0.500
Ga 0.661 0.763 0.000
Ga 0.839 0.263 0.500
Pt 0.000 0.000 0.000
Pt 0.500 0.500 0.500

(5)
The following is a calculated powder XRD pattern of Ce3PrNd3Te8. It was derived from a structure optimized by DFT (PBE), using CuKα.
Intensities are scaled so that the largest is 100.

Principal peaks in the range 10 to 90 degrees two-theta, low angle first:
2θ (°)	Rel. int.
28.1	100
40.2	76
49.8	27
58.2	13
65.9	35
73.1	19
73.1	6
86.8	4

Structure:
abc: 8.975 8.975 8.975
angles: 59.93 59.93 59.93
Atoms (fractional coordinates):
Ce 0.000 0.500 0.500
Ce 0.500 0.000 0.500
Ce 0.500 0.500 0.000
Pr 0.000 0.000 0.000
Nd 0.000 0.000 0.500
Nd 0.000 0.500 0.000
Nd 0.500 0.000 0.000
Te 0.250 0.250 0.250
Te 0.256 0.256 0.743
Te 0.256 0.743 0.256
Te 0.257 0.744 0.744
Te 0.743 0.256 0.256
Te 0.744 0.257 0.744
Te 0.744 0.744 0.257
Te 0.750 0.750 0.750